For LiFeP3O9, a structure optimized by DFT (PBE+U) gives the computed powder XRD pattern in this record (Cu Kα (weighted mean of Kα1 and Kα2)).
Kinematic intensities with the Lorentz-polarization factor, no thermal factor.

Most intense lines, 2θ = 10–90°, sorted by position:
- hkl 0 1 1, 14.04 deg, I = 65
- hkl 0 0 2, 14.26 deg, I = 14
- hkl 1 1 1, 17.00 deg, I = 100
- hkl 1 0 2, 17.18 deg, I = 55
- hkl 2 0 0, 19.13 deg, I = 14
- hkl 2 1 1, 23.81 deg, I = 51
- hkl 2 1 2, 26.90 deg, I = 14
- hkl 1 2 2, 29.93 deg, I = 48
- hkl 2 2 0, 31.13 deg, I = 16
- hkl 2 2 2, 34.39 deg, I = 18

Structure:
a = 9.2772 Å, b = 7.3206 Å, c = 12.4245 Å
α = 90.00°, β = 90.00°, γ = 90.00°
Space group Pnma (No. 62)
One atom of each set of equivalent atoms:
Li  0.0547  0.2500  0.0192 (multiplicity 4)
Fe  0.0271  0.7500  0.7754 (multiplicity 4)
P  0.2004  0.2500  0.4549 (multiplicity 4)
P  0.2478  0.5463  0.1480 (multiplicity 8)
O  0.0925  0.2500  0.3675 (multiplicity 4)
O  0.1119  0.0603  0.1246 (multiplicity 8)
O  0.1403  0.7500  0.9298 (multiplicity 4)
O  0.1479  0.5245  0.7290 (multiplicity 8)
O  0.1680  0.0794  0.5352 (multiplicity 8)
O  0.1970  0.7500  0.1818 (multiplicity 4)